Computed powder X-ray diffraction pattern of Ac3Cl8 for Cu Kα (weighted mean of Kα1 and Kα2), from a crystal structure in Alexandria, relaxed with PBE.
Lines closer than 0.1° are merged.

Cell lengths 7.069, 7.069, 7.069 Å; angles 90.00, 90.00, 90.00 degrees
Space group Pm-3m (No. 221)
Asymmetric unit:
Ac 0.000 0.000 0.500 x3
Cl 0.245 0.245 0.245 x8

Largest 6 diffraction maxima, low angle first, 10° ≤ 2θ ≤ 90°:
- 7.069 Å, 12.5 deg, intensity 31.7
- 4.999 Å, 17.7 deg, intensity 26.6
- 4.081 Å, 21.8 deg, intensity 100.0
- 2.499 Å, 35.9 deg, intensity 87.2
- 2.131 Å, 42.4 deg, intensity 54.7
- 1.443 Å, 64.6 deg, intensity 30.3